The following is a theoretical X-ray diffraction stick pattern of NaUNb2O8. It was derived from a cell relaxed with GGA-PBE, using a wavelength of 1.5418 Å.
Neutral-atom scattering factors, no anomalous dispersion.

Structure:
Cell lengths 5.0464, 5.0464, 6.5108 Å; angles 90.99, 90.99, 86.12 degrees
Positions (direct):
Na1 0.0000 0.0000 0.0000
U1 0.0000 0.0000 0.5000
Nb1 0.4666 0.4666 0.7595
Nb2 0.5334 0.5334 0.2405
O1 0.2056 0.7706 0.2717
O2 0.2294 0.7944 0.7283
O3 0.3093 0.3093 0.5141
O4 0.3258 0.3258 0.9936
O5 0.6742 0.6742 0.0064
O6 0.6907 0.6907 0.4859
O7 0.7706 0.2056 0.2717
O8 0.7944 0.2294 0.7283

Top 10 peaks for 2θ = 10–90°, in order of rising 2θ:
| Position (°2θ) | Rel. int. |
| --- | --- |
| 13.60 | 70 |
| 22.15 | 83 |
| 22.50 | 34 |
| 24.14 | 100 |
| 25.86 | 84 |
| 32.52 | 72 |
| 33.01 | 70 |
| 35.67 | 37 |
| 47.71 | 30 |
| 48.79 | 32 |


The following is a theoretical X-ray diffraction stick pattern of AcLaTc. It was derived from a cell relaxed with GGA-PBE, using a wavelength of 1.5418 Å.
Neutral-atom scattering factors, no anomalous dispersion.

Structure:
Cell lengths 8.7329, 5.7203, 7.3810 Å; angles 90.00, 90.00, 90.00 degrees
Positions (direct):
Ac1 0.0745 0.2500 0.1903
Ac2 0.4255 0.7500 0.6903
Ac3 0.5745 0.2500 0.3097
Ac4 0.9255 0.7500 0.8097
La1 0.1847 0.2500 0.6807
La2 0.3153 0.7500 0.1807
La3 0.6847 0.2500 0.8193
La4 0.8153 0.7500 0.3193
Tc1 0.0723 0.7500 0.4716
Tc2 0.4277 0.2500 0.9716
Tc3 0.5723 0.7500 0.0284
Tc4 0.9277 0.2500 0.5284

Top 10 peaks for 2θ = 10–90°, in order of rising 2θ:
| Position (°2θ) | Rel. int. |
| --- | --- |
| 25.67 | 61 |
| 26.22 | 33 |
| 28.42 | 92 |
| 30.59 | 87 |
| 31.27 | 100 |
| 35.51 | 98 |
| 36.72 | 48 |
| 43.21 | 45 |
| 51.17 | 27 |
| 54.30 | 46 |


The following is a theoretical X-ray diffraction stick pattern of ScSbBr2. It was derived from a cell relaxed with GGA-PBE, using a wavelength of 1.5418 Å.
Neutral-atom scattering factors, no anomalous dispersion.

Structure:
Cell lengths 4.4559, 3.8361, 7.6543 Å; angles 90.00, 96.17, 90.00 degrees
Positions (direct):
Sc1 0.0000 0.0000 0.0000
Sb1 0.5080 0.5000 0.0608
Br1 0.2107 0.0000 0.3329
Br2 0.8058 0.5000 0.7414

Top 10 peaks for 2θ = 10–90°, in order of rising 2θ:
| Position (°2θ) | Rel. int. |
| --- | --- |
| 11.63 | 100 |
| 24.31 | 76 |
| 26.01 | 49 |
| 29.25 | 35 |
| 30.83 | 72 |
| 32.25 | 46 |
| 33.16 | 31 |
| 35.39 | 35 |
| 37.65 | 32 |
| 40.41 | 30 |


The following is a theoretical X-ray diffraction stick pattern of RbH2AuO2. It was derived from a cell relaxed with GGA-PBE, using a wavelength of 1.5418 Å.
Neutral-atom scattering factors, no anomalous dispersion.

Structure:
Cell lengths 5.4558, 4.6636, 8.4650 Å; angles 90.00, 105.59, 90.00 degrees
Positions (direct):
Rb1 0.1812 0.2500 0.3014
Rb2 0.8188 0.7500 0.6986
H1 0.2813 0.2500 0.6391
H2 0.3058 0.7500 0.6758
H3 0.6942 0.2500 0.3242
H4 0.7187 0.7500 0.3609
Au1 0.4411 0.2500 0.9037
Au2 0.5589 0.7500 0.0963
O1 0.3098 0.0036 0.6809
O2 0.3098 0.4964 0.6809
O3 0.6902 0.5036 0.3191
O4 0.6902 0.9964 0.3191

Top 10 peaks for 2θ = 10–90°, in order of rising 2θ:
| Position (°2θ) | Rel. int. |
| --- | --- |
| 10.85 | 100 |
| 16.87 | 77 |
| 17.45 | 67 |
| 25.54 | 52 |
| 29.09 | 92 |
| 29.60 | 47 |
| 30.61 | 51 |
| 32.89 | 60 |
| 38.33 | 46 |
| 45.84 | 47 |


The following is a theoretical X-ray diffraction stick pattern of Os4W11. It was derived from a cell relaxed with GGA-PBE, using a wavelength of 1.5418 Å.
Neutral-atom scattering factors, no anomalous dispersion.

Structure:
Cell lengths 9.7312, 9.7312, 5.0196 Å; angles 90.00, 90.00, 90.00 degrees
Positions (direct):
Os1 0.0676 0.2624 0.0000
Os2 0.2376 0.5676 0.5000
Os3 0.2624 0.0676 0.0000
Os4 0.4324 0.7624 0.5000
Os5 0.5676 0.2376 0.5000
Os6 0.7376 0.9324 0.0000
Os7 0.7624 0.4324 0.5000
Os8 0.9324 0.7376 0.0000
W1 0.0000 0.0000 0.0000
W2 0.0355 0.3688 0.5000
W3 0.1003 0.1003 0.5000
W4 0.1312 0.5355 0.0000
W5 0.1835 0.8165 0.2504
W6 0.1835 0.8165 0.7496
W7 0.3165 0.3165 0.2496
W8 0.3165 0.3165 0.7504
W9 0.3688 0.0355 0.5000
W10 0.3997 0.6003 0.0000
W11 0.4645 0.8688 0.0000
W12 0.5000 0.5000 0.5000
W13 0.5355 0.1312 0.0000
W14 0.6003 0.3997 0.0000
W15 0.6312 0.9645 0.5000
W16 0.6835 0.6835 0.2496
W17 0.6835 0.6835 0.7504
W18 0.8165 0.1835 0.2504
W19 0.8165 0.1835 0.7496
W20 0.8688 0.4645 0.0000
W21 0.8997 0.8997 0.5000
W22 0.9645 0.6312 0.5000

Top 10 peaks for 2θ = 10–90°, in order of rising 2θ:
| Position (°2θ) | Rel. int. |
| --- | --- |
| 35.78 | 21 |
| 38.13 | 88 |
| 39.28 | 37 |
| 40.44 | 33 |
| 41.54 | 66 |
| 42.32 | 100 |
| 43.37 | 50 |
| 67.39 | 19 |
| 68.77 | 24 |
| 70.44 | 17 |


The following is a theoretical X-ray diffraction stick pattern of TmPuAlO6. It was derived from a cell relaxed with GGA-PBE, using a wavelength of 1.5418 Å.
Neutral-atom scattering factors, no anomalous dispersion.

Structure:
Cell lengths 5.4173, 5.4173, 8.6468 Å; angles 90.00, 90.00, 120.00 degrees
Positions (direct):
Tm1 0.3333 0.6667 0.2500
Tm2 0.6667 0.3333 0.7500
Pu1 0.3333 0.6667 0.7500
Pu2 0.6667 0.3333 0.2500
Al1 0.0000 0.0000 0.0000
Al2 0.0000 0.0000 0.5000
O1 0.0221 0.3246 0.6225
O2 0.0221 0.6975 0.8775
O3 0.3025 0.3246 0.8775
O4 0.3025 0.9779 0.6225
O5 0.3246 0.0221 0.1225
O6 0.3246 0.3025 0.3775
O7 0.6754 0.6975 0.6225
O8 0.6754 0.9779 0.8775
O9 0.6975 0.0221 0.3775
O10 0.6975 0.6754 0.1225
O11 0.9779 0.3025 0.1225
O12 0.9779 0.6754 0.3775

Top 10 peaks for 2θ = 10–90°, in order of rising 2θ:
| Position (°2θ) | Rel. int. |
| --- | --- |
| 18.92 | 56 |
| 20.54 | 79 |
| 28.07 | 85 |
| 33.07 | 77 |
| 39.25 | 100 |
| 43.91 | 25 |
| 54.29 | 59 |
| 56.06 | 25 |
| 59.07 | 26 |
| 63.23 | 24 |


The following is a theoretical X-ray diffraction stick pattern of CsPmBe2Br8. It was derived from a cell relaxed with GGA-PBE, using a wavelength of 1.5418 Å.
Neutral-atom scattering factors, no anomalous dispersion.

Structure:
Cell lengths 11.3851, 11.3851, 11.3851 Å; angles 34.32, 34.32, 34.32 degrees
Positions (direct):
Cs1 0.0000 0.0000 0.0000
Pm1 0.5000 0.5000 0.5000
Be1 0.2441 0.2441 0.2441
Be2 0.7559 0.7559 0.7559
Br1 0.0903 0.7843 0.4646
Br2 0.2157 0.5354 0.9097
Br3 0.3100 0.3100 0.3100
Br4 0.4646 0.0903 0.7843
Br5 0.5354 0.9097 0.2157
Br6 0.6900 0.6900 0.6900
Br7 0.7843 0.4646 0.0903
Br8 0.9097 0.2157 0.5354

Top 10 peaks for 2θ = 10–90°, in order of rising 2θ:
| Position (°2θ) | Rel. int. |
| --- | --- |
| 18.84 | 51 |
| 24.96 | 22 |
| 27.83 | 73 |
| 31.44 | 100 |
| 31.83 | 23 |
| 43.22 | 30 |
| 46.84 | 37 |
| 53.80 | 14 |
| 57.51 | 17 |
| 77.22 | 13 |


The following is a theoretical X-ray diffraction stick pattern of Na8InAu2. It was derived from a cell relaxed with GGA-PBE, using a wavelength of 1.5418 Å.
Neutral-atom scattering factors, no anomalous dispersion.

Structure:
Cell lengths 5.3406, 7.0383, 9.2878 Å; angles 112.12, 105.78, 90.39 degrees
Positions (direct):
Na1 0.0000 0.0000 0.0000
Na2 0.0223 0.5000 0.0492
Na3 0.1722 0.3477 0.3954
Na4 0.3713 0.8456 0.7398
Na5 0.3939 0.3959 0.7889
Na6 0.5868 0.9080 0.1841
Na7 0.6806 0.6038 0.3937
Na8 0.7972 0.1172 0.6057
In1 0.1881 0.8883 0.3942
Au1 0.5320 0.2503 0.0624
Au2 0.8672 0.5817 0.7249

Top 10 peaks for 2θ = 10–90°, in order of rising 2θ:
| Position (°2θ) | Rel. int. |
| --- | --- |
| 20.54 | 100 |
| 20.81 | 44 |
| 20.95 | 44 |
| 23.09 | 34 |
| 23.43 | 34 |
| 32.69 | 26 |
| 33.56 | 37 |
| 34.44 | 26 |
| 34.64 | 50 |
| 41.91 | 29 |


The following is a theoretical X-ray diffraction stick pattern of Tb5Ga5Ru2. It was derived from a cell relaxed with GGA-PBE, using a wavelength of 1.5418 Å.
Neutral-atom scattering factors, no anomalous dispersion.

Structure:
Cell lengths 7.8832, 7.8832, 10.6537 Å; angles 129.13, 129.13, 32.18 degrees
Positions (direct):
Tb1 0.0000 0.0000 0.0000
Tb2 0.1205 0.1205 0.4245
Tb3 0.1920 0.1920 0.8252
Tb4 0.8080 0.8080 0.1748
Tb5 0.8795 0.8795 0.5755
Ga1 0.2597 0.2597 0.3120
Ga2 0.4452 0.4452 0.1611
Ga3 0.5000 0.5000 0.5000
Ga4 0.5548 0.5548 0.8389
Ga5 0.7403 0.7403 0.6880
Ru1 0.3490 0.3490 0.7478
Ru2 0.6510 0.6510 0.2522

Top 10 peaks for 2θ = 10–90°, in order of rising 2θ:
| Position (°2θ) | Rel. int. |
| --- | --- |
| 27.32 | 26 |
| 32.53 | 100 |
| 34.78 | 98 |
| 35.52 | 27 |
| 36.92 | 21 |
| 38.21 | 32 |
| 39.04 | 70 |
| 41.33 | 49 |
| 55.06 | 23 |
| 57.54 | 21 |